1.
Theoretical powder diffractogram
Compound: Ac3Ag
Radiation: a wavelength of 1.5418 Å
Structure: a GGA-PBE-relaxed structure
Peak positions follow from Bragg's law for the DFT cell and can differ from measured ones.

Crystal structure
```
Ac3Ag
1.0
7.735 0.000 0.000
-3.868 6.699 0.000
0.000 0.000 5.748
Ac Ag
6 2
Direct
0.175 0.350 0.250
0.175 0.825 0.250
0.350 0.175 0.750
0.650 0.825 0.250
0.825 0.175 0.750
0.825 0.650 0.750
0.333 0.667 0.750
0.667 0.333 0.250
```

Most intense lines, 15 to 90 degrees two-theta, by angle:
- 2θ 20.36, I = 8, hkl 1 0 1
- 2θ 26.61, I = 24, hkl 2 0 0
- 2θ 30.90, I = 100, hkl 2 0 1
- 2θ 31.12, I = 22, hkl 0 0 2
- 2θ 41.40, I = 15, hkl 2 0 2
- 2θ 46.99, I = 20, hkl 2 2 0
- 2θ 55.23, I = 20, hkl 2 0 3
- 2θ 57.30, I = 17, hkl 4 0 1
- 2θ 57.43, I = 23, hkl 2 2 2
- 2θ 77.15, I = 13, hkl 4 2 1

***

2.
Theoretical powder diffractogram
Compound: Ac3Ag
Radiation: a wavelength of 1.5418 Å
Structure: a GGA-PBE-relaxed structure
Peak positions follow from Bragg's law for the DFT cell and can differ from measured ones.

Crystal structure
```
Ac3Ag
1.0
5.204 0.000 0.000
0.000 5.204 0.000
0.000 0.000 11.122
Ac Ag
6 2
Direct
0.000 0.000 0.000
0.000 0.500 0.250
0.000 0.500 0.750
0.500 0.000 0.250
0.500 0.000 0.750
0.500 0.500 0.500
0.000 0.000 0.500
0.500 0.500 0.000
```

Most intense lines, 15 to 90 degrees two-theta, by angle:
- 2θ 29.10, I = 100, hkl 1 1 2
- 2θ 32.19, I = 19, hkl 0 0 4
- 2θ 34.47, I = 32, hkl 2 0 0
- 2θ 47.88, I = 26, hkl 2 0 4
- 2θ 49.54, I = 12, hkl 2 2 0
- 2θ 55.51, I = 17, hkl 1 1 6
- 2θ 58.49, I = 29, hkl 3 1 2
- 2θ 60.32, I = 13, hkl 2 2 4
- 2θ 77.57, I = 13, hkl 3 1 6
- 2θ 77.91, I = 6, hkl 2 0 8